(1)
Computed powder XRD pattern
Compound: CsMgZn3As2P
Radiation: Cu Kα (weighted mean of Kα1 and Kα2)
Structure: a PBE-relaxed structure
Intensities are scaled so that the largest is 100.

Principal peaks in the range 2θ from 10° to 90°, by angle:
2θ/deg	I_rel
25.1	33
26.7	100
27.1	80
31.0	96
33.1	28
39.4	30
42.2	42
43.2	40
45.6	98
50.9	27
51.5	37
62.0	26

Structural model:
```
CsMgZn3As2P
1.0
4.189 0.000 0.000
0.000 4.281 0.000
0.000 0.000 10.647
Cs Mg Zn As P
1 1 3 2 1
direct
0.000 0.000 0.000
0.500 0.000 0.646
0.000 0.500 0.351
0.000 0.500 0.650
0.500 0.000 0.350
0.500 0.500 0.222
0.500 0.500 0.781
0.000 0.000 0.497
```


(2)
Computed powder XRD pattern
Compound: PrGdCu2As4
Radiation: Cu Kα (weighted mean of Kα1 and Kα2)
Structure: a PBE-relaxed structure
Intensities are scaled so that the largest is 100.

Principal peaks in the range 2θ from 10° to 90°, by angle:
2θ/deg	I_rel
24.1	20
28.7	17
35.0	30
35.7	14
36.7	100
45.8	36
50.9	18
58.9	13
59.4	12
66.8	11
70.8	13
78.7	21

Structural model:
```
PrGdCu2As4
1.0
3.963 0.000 0.000
0.000 3.963 0.000
0.000 0.000 10.066
Pr Gd Cu As
1 1 2 4
direct
0.000 0.000 0.000
0.500 0.500 0.476
0.000 0.500 0.732
0.500 0.000 0.732
0.000 0.000 0.578
0.000 0.500 0.243
0.500 0.000 0.243
0.500 0.500 0.885
```


(3)
Computed powder XRD pattern
Compound: Dy4Ag2Bi
Radiation: Cu Kα (weighted mean of Kα1 and Kα2)
Structure: a PBE-relaxed structure
Intensities are scaled so that the largest is 100.

Principal peaks in the range 2θ from 10° to 90°, by angle:
2θ/deg	I_rel
13.2	13
25.3	10
29.9	7
34.5	100
37.1	5
38.0	38
43.8	13
54.9	13
59.4	21
66.4	29
72.7	11
74.5	12

Structural model:
```
Dy4Ag2Bi
1.0
6.693 0.000 0.000
0.000 6.693 0.000
0.000 0.000 4.131
Dy Ag Bi
4 2 1
direct
0.243 0.243 0.497
0.243 0.757 0.503
0.757 0.243 0.503
0.757 0.757 0.497
0.000 0.500 0.000
0.500 0.000 0.000
0.500 0.500 0.000
```


(4)
Computed powder XRD pattern
Compound: Rb3TaTe2Se2
Radiation: Cu Kα (weighted mean of Kα1 and Kα2)
Structure: a PBE-relaxed structure
Intensities are scaled so that the largest is 100.

Principal peaks in the range 2θ from 10° to 90°, by angle:
2θ/deg	I_rel
14.4	86
15.6	30
24.1	57
25.5	67
26.5	30
27.3	31
28.9	100
31.5	34
34.1	35
44.0	34
47.1	25
52.4	27

Structural model:
```
Rb3TaTe2Se2
1.0
0.000 6.532 4.440
5.685 0.000 4.440
5.685 6.532 0.000
Rb Ta Te Se
3 1 2 2
direct
0.000 0.000 0.000
0.101 0.101 0.399
0.601 0.601 0.899
0.518 0.518 0.482
0.182 0.522 0.478
0.522 0.182 0.818
0.505 0.847 0.495
0.847 0.505 0.153
```


(5)
Computed powder XRD pattern
Compound: Tb5GdCd2
Radiation: Cu Kα (weighted mean of Kα1 and Kα2)
Structure: a PBE-relaxed structure
Intensities are scaled so that the largest is 100.

Principal peaks in the range 2θ from 10° to 90°, by angle:
2θ/deg	I_rel
29.7	24
32.7	25
34.0	100
44.8	16
52.8	19
59.2	20
63.5	21
64.3	15
71.6	4
76.4	3
83.3	8
87.8	13

Structural model:
```
Tb5GdCd2
1.0
5.478 0.000 0.000
0.000 6.939 0.000
0.000 0.000 12.017
Tb Gd Cd
10 2 4
direct
0.000 0.000 0.000
0.000 0.242 0.242
0.000 0.258 0.742
0.000 0.500 0.500
0.000 0.742 0.742
0.000 0.758 0.242
0.500 0.242 0.414
0.500 0.258 0.914
0.500 0.742 0.914
0.500 0.758 0.414
0.500 0.000 0.656
0.500 0.500 0.156
0.000 0.000 0.494
0.000 0.500 0.994
0.500 0.000 0.161
0.500 0.500 0.661
```


(6)
Computed powder XRD pattern
Compound: TmSi2NiGe
Radiation: Cu Kα (weighted mean of Kα1 and Kα2)
Structure: a PBE-relaxed structure
Intensities are scaled so that the largest is 100.

Principal peaks in the range 2θ from 10° to 90°, by angle:
2θ/deg	I_rel
16.8	19
24.2	20
25.5	13
30.7	15
34.2	39
34.4	100
44.8	31
45.2	22
46.3	20
57.9	17
66.3	19
66.6	13

Structural model:
```
TmSi2NiGe
1.0
2.008 -10.547 0.000
2.008 10.547 0.000
0.000 0.000 3.925
Tm Si Ni Ge
2 4 2 2
direct
0.170 0.830 0.000
0.830 0.170 0.000
0.281 0.719 0.500
0.443 0.557 0.000
0.557 0.443 0.000
0.719 0.281 0.500
0.387 0.613 0.500
0.613 0.387 0.500
0.058 0.942 0.500
0.942 0.058 0.500
```


(7)
Computed powder XRD pattern
Compound: KCuGeTeS2
Radiation: Cu Kα (weighted mean of Kα1 and Kα2)
Structure: a PBE-relaxed structure
Intensities are scaled so that the largest is 100.

Principal peaks in the range 2θ from 10° to 90°, by angle:
2θ/deg	I_rel
11.3	100
16.4	15
31.3	65
33.1	24
34.5	10
35.1	12
38.3	16
39.0	10
39.4	17
41.7	13
49.5	12
52.4	19

Structural model:
```
KCuGeTeS2
1.0
1.797 -7.837 0.000
1.797 7.837 0.000
0.000 0.000 10.814
K Cu Ge Te S
2 2 2 2 4
direct
0.236 0.764 0.750
0.764 0.236 0.250
0.442 0.558 0.250
0.558 0.442 0.750
0.000 0.000 0.000
0.000 0.000 0.500
0.069 0.931 0.250
0.931 0.069 0.750
0.393 0.607 0.057
0.393 0.607 0.443
0.607 0.393 0.557
0.607 0.393 0.943
```